Simulated PXRD pattern
Compound: NdMgSn
Radiation: Cu Kα
Structure: DFT lattice parameters and positions (GGA-PBE)
No peak broadening, texture or thermal motion is included.

Structure:
a = 4.517 Å, b = 4.517 Å, c = 16.225 Å
α = 90.00°, β = 90.00°, γ = 90.00°
Fractional coordinates of all 12 atoms:
Nd (0.000, 0.000, 0.164)
Nd (0.000, 0.000, 0.836)
Nd (0.500, 0.500, 0.336)
Nd (0.500, 0.500, 0.664)
Mg (0.000, 0.500, 0.000)
Mg (0.000, 0.500, 0.500)
Mg (0.500, 0.000, 0.000)
Mg (0.500, 0.000, 0.500)
Sn (0.000, 0.000, 0.367)
Sn (0.000, 0.000, 0.633)
Sn (0.500, 0.500, 0.133)
Sn (0.500, 0.500, 0.867)

The 8 most intense peaks (2θ = 5–70°), most intense first:
3.194 Å, 2θ 27.94, rel. 100, hkl 1 1 0
2.509 Å, 2θ 35.78, rel. 92, hkl 1 1 4
2.258 Å, 2θ 39.92, rel. 57, hkl 2 0 0
4.056 Å, 2θ 21.91, rel. 46, hkl 0 0 4
2.972 Å, 2θ 30.07, rel. 33, hkl 1 1 2
2.635 Å, 2θ 34.02, rel. 32, hkl 1 0 5
1.973 Å, 2θ 46.00, rel. 27, hkl 2 0 4
1.347 Å, 2θ 69.81, rel. 27, hkl 3 1 4